Diffraction record for MgCo5SbO8. The X-ray powder pattern is simulated, not measured: it uses a structure optimized by DFT (PBE+U) and Cu Kα (weighted mean of Kα1 and Kα2).
No peak broadening, texture or thermal motion is included.

Structure:
a = 10.5658 Å, b = 6.0639 Å, c = 6.6134 Å
α = 90.00°, β = 126.14°, γ = 90.00°
Space group C2/m (No. 12)
One atom of each set of equivalent atoms:
1 Mg 0.0000 0.0000 0.0000 [2 per cell]
2 Co 0.0000 0.5000 0.5000 [2 per cell]
3 Co 0.1891 0.0000 0.4643 [4 per cell]
4 Co 0.2500 0.2500 0.0000 [4 per cell]
5 Sb 0.0000 0.5000 0.0000 [2 per cell]
6 O 0.0085 0.2599 0.2253 [8 per cell]
7 O 0.2341 0.5000 0.1897 [4 per cell]
8 O 0.2430 0.5000 0.7671 [4 per cell]

Peak list (12 most intense, 2θ from 10° to 80°, in order of rising 2θ)
2θ = 16.6°, 5.341 Å, I = 48, hkl 0 0 1; 2θ = 17.9°, 4.943 Å, I = 85, hkl 1 1 0; 2θ = 29.4°, 3.033 Å, I = 46, hkl 0 2 0; 2θ = 32.2°, 2.780 Å, I = 42, hkl 1 1 -2; 2θ = 33.0°, 2.714 Å, I = 69, hkl 3 1 -2; 2θ = 33.6°, 2.671 Å, I = 65, hkl 0 0 2; 2θ = 34.4°, 2.608 Å, I = 94, hkl 2 2 -1; 2θ = 34.9°, 2.574 Å, I = 100, hkl 3 1 0; 2θ = 40.4°, 2.234 Å, I = 80, hkl 2 2 -2; 2θ = 42.4°, 2.133 Å, I = 67, hkl 4 0 0; 2θ = 52.1°, 1.757 Å, I = 57, hkl 2 2 -3; 2θ = 61.0°, 1.520 Å, I = 46, hkl 6 2 -2